Simulated X-ray powder pattern of Li2NiSnP2O8 for copper Kα, from DFT lattice parameters and positions (GGA+U).

Crystal structure
```
28
Lattice="4.841 0.000 0.000 0.000 6.277 0.000 -0.293 0.000 11.207" Properties=species:S:1:pos:R:3 pbc="T T T"
Li 0.000 0.000 0.000
Li 0.000 3.138 0.000
Li 2.274 0.000 5.603
Li 2.274 3.138 5.603
Ni 0.120 1.569 7.904
Ni 4.428 4.708 3.302
Sn 2.220 1.569 2.519
Sn 2.328 4.708 8.687
P 0.253 4.708 6.444
P 1.587 4.708 1.423
P 2.961 1.569 9.783
P 4.295 1.569 4.763
O 0.847 3.478 2.083
O 0.847 5.938 2.083
O 0.784 4.708 4.984
O 0.916 3.452 7.141
O 0.916 5.963 7.141
O 0.994 1.569 4.633
O 0.904 4.708 11.132
O 1.448 1.569 9.542
O 3.100 4.708 1.664
O 3.644 1.569 0.075
O 3.554 4.708 6.574
O 3.632 0.314 4.066
O 3.632 2.825 4.066
O 3.764 1.569 6.223
O 3.701 0.339 9.124
O 3.701 2.799 9.124
```

The 10 most intense peaks (2θ = 5–70°), low angle first:
two_theta  d/Å  intensity  index
15.82  5.603  98  0 0 2
23.98  3.711  51  1 0 -2
24.39  3.649  68  1 1 -1
24.71  3.603  99  1 1 1
28.45  3.138  100  0 2 0
33.14  2.703  53  1 1 -3
33.85  2.648  66  1 1 3
35.09  2.557  42  0 1 4
41.00  2.201  26  2 0 2
49.99  1.824  31  2 2 -2